Structure and simulated X-ray diffraction stick pattern of La2DyOs (a DFT-relaxed cell (GGA-PBE, Alexandria); Cu Kα).
No peak broadening, texture or thermal motion is included.

Peak list (10 most intense, 10 to 90 degrees two-theta, in order of rising 2θ)
- 14.51°, 6.104 Å, I = 27
- 29.77°, 3.001 Å, I = 45
- 30.85°, 2.898 Å, I = 36
- 32.21°, 2.779 Å, I = 57
- 32.34°, 2.768 Å, I = 100
- 36.84°, 2.440 Å, I = 44
- 43.87°, 2.064 Å, I = 26
- 48.80°, 1.866 Å, I = 19
- 55.46°, 1.657 Å, I = 24
- 58.69°, 1.573 Å, I = 23

Structural model:
Cell lengths 6.4431, 6.4431, 9.3653 Å; angles 90.00, 90.00, 142.64 degrees
Element x y z (fractional)
La: 0.1413 0.8587 0.5696
La: 0.1413 0.8587 0.9304
La: 0.8587 0.1413 0.0696
La: 0.8587 0.1413 0.4304
Dy: 0.4179 0.5821 0.7500
Dy: 0.5821 0.4179 0.2500
Os: 0.2403 0.7597 0.2500
Os: 0.7597 0.2403 0.7500